SrMgZn4: simulated powder diffractogram (Cu Kα (weighted mean of Kα1 and Kα2)), based on a DFT-relaxed cell (GGA-PBE, Alexandria).
Kinematic intensities with the Lorentz-polarization factor, no thermal factor.

Cell and atoms:
```
data_SrMgZn4
_chemical_formula_sum 'Sr8 Mg8 Zn32'
_cell_length_a 10.4449
_cell_length_b 10.4449
_cell_length_c 10.4096
_cell_angle_alpha 90.00
_cell_angle_beta 90.00
_cell_angle_gamma 90.00
_symmetry_space_group_name_H-M 'I 4/m m m'
_symmetry_Int_Tables_number 139
_symmetry_space_group_name_Hall '-I 4 2'
loop_
_atom_site_label
_atom_site_fract_x
_atom_site_fract_y
_atom_site_fract_z
Sr1 0.0000 0.0000 0.1807
Sr2 0.0000 0.5000 0.2500
Mg1 0.0000 0.2128 0.5000
Zn1 0.1159 0.2873 0.0000
Zn2 0.1915 0.1915 0.3282
```

Main lines, in order of rising 2θ (10° ≤ 2θ ≤ 80°):
2θ (°)  I/Imax  hkl
24.11  60  2 2 0
29.66  65  2 2 2
32.12  100  2 1 3
36.55  55  3 0 3
40.56  46  3 3 2
51.04  45  3 3 4